Starting from a structure optimized by DFT (GGA+U), the powder diffractogram of Na2ZnFeF6 was calculated for copper Kα.
Lines closer than 0.1° are merged.

Peak list (8 most intense, 2θ from 10° to 90°, by angle)
2θ/deg	I (rel.)
22.3	73.1
22.6	32.7
31.1	26.1
32.0	100.0
38.0	20.9
45.6	42.8
46.2	22.6
57.6	50.1

Structural model:
abc: 5.5218 5.7438 9.6082
angles: 90.00 125.03 90.00
Space group P2_1/c (No. 14)
Unique sites:
Na  0.2327  0.0592  0.2514 (multiplicity 4)
Zn  0.5000  0.0000  0.0000 (multiplicity 2)
Fe  0.0000  0.0000  0.5000 (multiplicity 2)
F  0.1411  0.1938  0.9414 (multiplicity 4)
F  0.2550  0.7018  0.9440 (multiplicity 4)
F  0.3587  0.0413  0.7466 (multiplicity 4)